# 1
# LaPr4Er10
Simulated X-ray diffraction stick pattern, Cu Kα. Input: a cell relaxed with PBE.
Lines closer than 0.1° are merged.

Main lines, in order of rising 2θ (2θ from 5° to 70°):
- (1 3 0), 21.69 deg, I = 25
- (2 3 1), 28.37 deg, I = 23
- (1 1 2), 29.13 deg, I = 50
- (3 3 0), 29.24 deg, I = 34
- (4 2 0), 30.86 deg, I = 89
- (1 5 0), 35.25 deg, I = 100
- (3 3 2), 40.52 deg, I = 28
- (4 2 2), 41.76 deg, I = 31
- (2 6 0), 44.20 deg, I = 23
- (1 5 2), 45.28 deg, I = 30
- (6 2 2), 52.80 deg, I = 26
- (7 5 0), 61.54 deg, I = 22

Structural model:
a b c (Å): 12.958 12.958 6.507
angles (deg): 90.00 90.00 90.00
Space group I4/m (No. 87)
Unique sites:
La 0.000 0.000 0.000 [2 per cell]
Pr 0.068 0.826 0.500 [8 per cell]
Er 0.000 0.500 0.250 [4 per cell]
Er 0.131 0.295 0.250 [16 per cell]


# 2
# Cs6SeBr2O
Simulated X-ray diffraction stick pattern, Cu Kα. Input: a cell relaxed with PBE.
Lines closer than 0.1° are merged.

Main lines, in order of rising 2θ (2θ from 5° to 70°):
- (0 0 1), 9.04 deg, I = 31
- (0 2 2), 23.04 deg, I = 48
- (2 2 0), 25.26 deg, I = 100
- (2 0 2), 27.79 deg, I = 49
- (0 3 2), 28.03 deg, I = 25
- (0 4 0), 28.37 deg, I = 47
- (2 1 2), 28.70 deg, I = 51
- (0 2 3), 30.89 deg, I = 52
- (2 3 1), 31.30 deg, I = 26
- (2 0 3), 34.66 deg, I = 29
- (2 4 2), 40.13 deg, I = 28
- (2 5 2), 45.81 deg, I = 24

Structural model:
a b c (Å): 8.513 12.585 9.779
angles (deg): 90.00 90.00 90.00
Space group Pmmn (No. 59, origin choice 2)
Unique sites:
Cs 0.014 0.250 0.029 [4 per cell]
Cs 0.018 0.750 0.387 [4 per cell]
Cs 0.250 0.017 0.797 [4 per cell]
Se 0.250 0.750 0.687 [2 per cell]
Br 0.250 0.553 0.159 [4 per cell]
O 0.250 0.250 0.793 [2 per cell]


# 3
# HfZrTl
Simulated X-ray diffraction stick pattern, Cu Kα. Input: a cell relaxed with PBE.
Lines closer than 0.1° are merged.

Main lines, in order of rising 2θ (2θ from 5° to 70°):
- (0 2 -2), 34.25 deg, I = 100
- (1 0 1), 34.36 deg, I = 99
- (0 0 3), 38.08 deg, I = 37
- (1 -2 0), 40.07 deg, I = 33
- (1 2 -1), 41.26 deg, I = 30
- (1 -2 3), 56.46 deg, I = 23
- (1 2 2), 57.31 deg, I = 11
- (1 2 -4), 57.47 deg, I = 11
- (0 4 -1), 58.71 deg, I = 11
- (0 2 -5), 66.43 deg, I = 21
- (1 -4 2), 69.00 deg, I = 13
- (2 -2 1), 69.22 deg, I = 13

Structural model:
a b c (Å): 3.131 6.293 7.415
angles (deg): 101.76 101.79 91.60
Space group P-1 (No. 2)
Unique sites:
Hf 0.172 0.339 0.348 [2 per cell]
Zr 0.177 0.833 0.343 [2 per cell]
Tl 0.500 0.000 0.000 [1 per cell]
Tl 0.500 0.500 0.000 [1 per cell]


- Which formula does entry 3 have?
  HfZrTl